(1)
# Cu9Te2
Simulated powder X-ray diffraction pattern, Cu Kα (λ = 1.5418 Å). Input: a crystal structure in OQMD, relaxed with GGA-PBE.

Peak list (12 most intense, 10° ≤ 2θ ≤ 80°, low angle first)
| 2theta | d [Å] | I (rel.) |
| --- | --- | --- |
| 30.84 | 2.900 | 34 |
| 35.89 | 2.502 | 37 |
| 40.05 | 2.251 | 51 |
| 42.31 | 2.136 | 76 |
| 42.86 | 2.110 | 40 |
| 43.51 | 2.080 | 100 |
| 44.36 | 2.042 | 58 |
| 44.67 | 2.029 | 58 |
| 48.83 | 1.865 | 50 |
| 50.47 | 1.808 | 70 |
| 50.61 | 1.804 | 44 |
| 72.85 | 1.298 | 29 |

Crystal structure
a b c (Å): 4.3865 4.3865 31.1792
angles (deg): 91.47 91.47 48.71
Positions (direct):
1 Cu 0.0271 0.0271 0.2760
2 Cu 0.0524 0.0524 0.5393
3 Cu 0.1402 0.1402 0.3555
4 Cu 0.1583 0.1583 0.6179
5 Cu 0.2461 0.2461 0.4344
6 Cu 0.2641 0.2641 0.6968
7 Cu 0.3503 0.3503 0.5129
8 Cu 0.4394 0.4394 0.3304
9 Cu 0.4552 0.4552 0.5913
10 Cu 0.5448 0.5448 0.4087
11 Cu 0.5606 0.5606 0.6696
12 Cu 0.6497 0.6497 0.4871
13 Cu 0.7359 0.7359 0.3032
14 Cu 0.7539 0.7539 0.5656
15 Cu 0.8417 0.8417 0.3821
16 Cu 0.8598 0.8598 0.6445
17 Cu 0.9476 0.9476 0.4607
18 Cu 0.9729 0.9729 0.7240
19 Te 0.2716 0.2716 0.8390
20 Te 0.3057 0.3057 0.2334
21 Te 0.6943 0.6943 0.7666
22 Te 0.7284 0.7284 0.1610

=====

(2)
# Cu15Te2
Simulated powder X-ray diffraction pattern, Cu Kα (λ = 1.5418 Å). Input: a crystal structure in OQMD, relaxed with GGA-PBE.

Peak list (12 most intense, 10° ≤ 2θ ≤ 80°, low angle first)
| 2theta | d [Å] | I (rel.) |
| --- | --- | --- |
| 41.99 | 2.152 | 67 |
| 42.20 | 2.141 | 31 |
| 42.36 | 2.134 | 41 |
| 43.45 | 2.083 | 100 |
| 43.79 | 2.067 | 47 |
| 44.55 | 2.034 | 31 |
| 45.05 | 2.013 | 35 |
| 46.64 | 1.948 | 23 |
| 49.32 | 1.848 | 30 |
| 49.67 | 1.836 | 36 |
| 50.83 | 1.796 | 23 |
| 50.88 | 1.795 | 25 |

Crystal structure
a b c (Å): 4.3827 6.7962 27.4265
angles (deg): 90.83 90.92 90.21
Positions (direct):
1 Cu 0.0658 0.4511 0.3174
2 Cu 0.0736 0.3188 0.4059
3 Cu 0.0830 0.1781 0.4924
4 Cu 0.0955 0.0403 0.5790
5 Cu 0.1008 0.9037 0.6641
6 Cu 0.2398 0.6756 0.3917
7 Cu 0.2476 0.5347 0.4784
8 Cu 0.2497 0.8075 0.3033
9 Cu 0.2562 0.3945 0.5651
10 Cu 0.2600 0.2573 0.6528
11 Cu 0.3869 0.1550 0.2876
12 Cu 0.4026 0.0286 0.3781
13 Cu 0.4103 0.8905 0.4650
14 Cu 0.4221 0.7499 0.5513
15 Cu 0.4327 0.6135 0.6383
16 Cu 0.5673 0.3865 0.3617
17 Cu 0.5779 0.2501 0.4487
18 Cu 0.5897 0.1095 0.5350
19 Cu 0.5974 0.9714 0.6219
20 Cu 0.6131 0.8450 0.7124
21 Cu 0.7400 0.7427 0.3472
22 Cu 0.7438 0.6055 0.4349
23 Cu 0.7503 0.1925 0.6967
24 Cu 0.7524 0.4653 0.5216
25 Cu 0.7602 0.3244 0.6083
26 Cu 0.8992 0.0963 0.3359
27 Cu 0.9045 0.9597 0.4210
28 Cu 0.9170 0.8219 0.5076
29 Cu 0.9264 0.6812 0.5941
30 Cu 0.9342 0.5489 0.6826
31 Te 0.1239 0.0053 0.7552
32 Te 0.4382 0.4850 0.7345
33 Te 0.5618 0.5150 0.2655
34 Te 0.8761 0.9947 0.2448

=====

(3)
# Cu15Te8
Simulated powder X-ray diffraction pattern, Cu Kα (λ = 1.5418 Å). Input: a crystal structure in OQMD, relaxed with GGA-PBE.

Peak list (12 most intense, 10° ≤ 2θ ≤ 80°, low angle first)
| 2theta | d [Å] | I (rel.) |
| --- | --- | --- |
| 12.26 | 7.219 | 20 |
| 24.63 | 3.614 | 43 |
| 27.56 | 3.236 | 89 |
| 35.09 | 2.557 | 33 |
| 39.35 | 2.290 | 15 |
| 41.39 | 2.181 | 39 |
| 43.27 | 2.091 | 100 |
| 45.24 | 2.004 | 82 |
| 50.43 | 1.809 | 20 |
| 52.08 | 1.756 | 15 |
| 64.39 | 1.447 | 25 |
| 69.97 | 1.345 | 16 |

Crystal structure
a b c (Å): 8.3638 8.3638 7.2192
angles (deg): 90.00 90.00 120.00
Positions (direct):
1 Cu 0.0000 0.0000 0.0000
2 Cu 0.0027 0.5014 0.3046
3 Cu 0.1510 0.3020 0.1979
4 Cu 0.1510 0.8490 0.1979
5 Cu 0.1848 0.3696 0.5431
6 Cu 0.1848 0.8152 0.5431
7 Cu 0.3113 0.1556 0.4406
8 Cu 0.3333 0.6667 0.7557
9 Cu 0.4986 0.5014 0.3046
10 Cu 0.4986 0.9973 0.3046
11 Cu 0.6304 0.8152 0.5431
12 Cu 0.6667 0.3333 0.4573
13 Cu 0.6980 0.8490 0.1979
14 Cu 0.8444 0.1556 0.4406
15 Cu 0.8444 0.6887 0.4406
16 Te 0.0000 0.0000 0.6292
17 Te 0.3333 0.6667 0.1251
18 Te 0.3639 0.1819 0.0797
19 Te 0.5123 0.0246 0.6753
20 Te 0.5123 0.4877 0.6753
21 Te 0.8181 0.1819 0.0797
22 Te 0.8181 0.6361 0.0797
23 Te 0.9754 0.4877 0.6753